Structure and simulated powder XRD pattern of Zn3Ga2Te6 (a DFT-relaxed cell (GGA-PBE, the Materials Project); CuKα).
No peak broadening, texture or thermal motion is included.

Structural model:
Cell lengths 7.5231, 7.5231, 8.6645 Å; angles 107.65, 107.65, 47.53 degrees
Positions (direct):
Zn  0.0000  0.0000  0.0000
Zn  0.3060  0.3714  0.1745
Zn  0.6286  0.6940  0.8255
Ga  0.2914  0.3766  0.6628
Ga  0.6234  0.7086  0.3372
Te  0.2021  0.7956  0.7301
Te  0.2044  0.7979  0.2699
Te  0.5540  0.1126  0.9163
Te  0.5780  0.1089  0.4252
Te  0.8874  0.4460  0.0837
Te  0.8911  0.4220  0.5748

Top 8 peaks for 5° ≤ 2θ ≤ 70°, in order of falling intensity:
Position (°2θ), intensity
25.3, 100
41.7, 45
49.8, 29
42.1, 22
49.1, 16
66.6, 12
29.4, 7
61.1, 7



Structure and simulated powder XRD pattern of NaScTaP3O12 (a DFT-relaxed cell (GGA-PBE, the Materials Project); CuKα).
No peak broadening, texture or thermal motion is included.

Structural model:
Cell lengths 9.1554, 9.1554, 9.1554 Å; angles 57.34, 57.34, 57.34 degrees
Positions (direct):
Na  0.0000  0.0000  0.0000
Na  0.5000  0.5000  0.5000
Sc  0.3561  0.3561  0.3561
Sc  0.8561  0.8561  0.8561
Ta  0.1493  0.1493  0.1493
Ta  0.6493  0.6493  0.6493
P  0.0438  0.4650  0.7529
P  0.2529  0.9650  0.5438
P  0.4650  0.7529  0.0438
P  0.5438  0.2529  0.9650
P  0.7529  0.0438  0.4650
P  0.9650  0.5438  0.2529
O  0.0131  0.6286  0.7813
O  0.0649  0.2866  0.9314
O  0.0885  0.9313  0.7178
O  0.1286  0.5131  0.2813
O  0.2178  0.4313  0.5885
O  0.2293  0.9974  0.3682
O  0.2813  0.1286  0.5131
O  0.2866  0.9314  0.0649
O  0.3682  0.2293  0.9974
O  0.4313  0.5885  0.2178
O  0.4314  0.7866  0.5649
O  0.4974  0.7293  0.8682
O  0.5131  0.2813  0.1286
O  0.5649  0.4314  0.7866
O  0.5885  0.2178  0.4313
O  0.6286  0.7813  0.0131
O  0.7178  0.0885  0.9313
O  0.7293  0.8682  0.4974
O  0.7813  0.0131  0.6286
O  0.7866  0.5649  0.4314
O  0.8682  0.4974  0.7293
O  0.9314  0.0649  0.2866
O  0.9313  0.7178  0.0885
O  0.9974  0.3682  0.2293

Top 8 peaks for 5° ≤ 2θ ≤ 70°, in order of falling intensity:
Position (°2θ), intensity
14.0, 100
20.2, 90
31.1, 82
19.4, 79
23.4, 59
28.2, 49
35.4, 33
47.8, 31



Structure and simulated powder XRD pattern of SmBiRu2O7 (a DFT-relaxed cell (GGA-PBE, the Materials Project); CuKα).
No peak broadening, texture or thermal motion is included.

Structural model:
Cell lengths 7.3385, 7.3385, 7.3385 Å; angles 120.40, 119.55, 90.04 degrees
Positions (direct):
Sm  0.0000  0.0000  0.0000
Sm  0.5000  0.0000  0.5000
Bi  0.5000  0.0000  0.0000
Bi  0.5000  0.5000  0.5000
Ru  0.0000  0.0000  0.5000
Ru  0.0000  0.5000  0.0000
Ru  0.0000  0.5000  0.5000
Ru  0.5000  0.5000  0.0000
O  0.0799  0.8299  0.2500
O  0.0808  0.4237  0.2525
O  0.0808  0.8283  0.6571
O  0.3283  0.5783  0.7500
O  0.3288  0.1717  0.7525
O  0.3288  0.5763  0.1571
O  0.3707  0.1207  0.2500
O  0.6293  0.8793  0.7500
O  0.6712  0.4237  0.8429
O  0.6712  0.8283  0.2475
O  0.6717  0.4217  0.2500
O  0.9192  0.1717  0.3429
O  0.9192  0.5763  0.7475
O  0.9201  0.1701  0.7500

Top 8 peaks for 5° ≤ 2θ ≤ 70°, in order of falling intensity:
Position (°2θ), intensity
29.7, 100
30.0, 99
34.6, 69
49.7, 61
58.8, 29
59.3, 28
49.3, 16
50.0, 15